Diffraction record for MnO2. The PXRD pattern is theoretical, not measured: it uses the GGA+U geometry in Alexandria and Cu Kα (λ = 1.5418 Å).

Crystal structure
```
18
Lattice="9.461 0.000 0.000 0.000 2.930 0.000 -0.494 0.000 9.586" Properties=species:S:1:pos:R:3 pbc="T T T"
Mn 0.000 0.000 0.000
Mn -0.034 1.465 2.548
Mn 1.945 0.000 5.012
Mn 4.484 1.465 4.793
Mn 7.022 0.000 4.574
Mn 9.001 1.465 7.037
O 0.585 0.000 6.376
O 0.470 1.465 8.751
O 0.934 0.000 1.702
O 1.153 1.465 4.067
O 2.883 1.465 5.890
O 3.558 0.000 3.915
O 5.409 0.000 5.670
O 6.084 1.465 3.695
O 7.815 1.465 5.519
O 8.033 0.000 7.884
O 8.382 0.000 3.209
O 8.497 1.465 0.834
```

Principal peaks in the range 10 to 90 degrees two-theta, in order of rising 2θ:
d 6.909, 12.8°, I 77, (1 0 -1)
d 6.562, 13.5°, I 100, (1 0 1)
d 4.793, 18.5°, I 38, (0 0 2)
d 4.724, 18.8°, I 39, (2 0 0)
d 4.327, 20.5°, I 31, (2 0 -1)
d 4.188, 21.2°, I 39, (1 0 2)
d 2.490, 36.1°, I 27, (2 1 0)
d 2.433, 36.9°, I 41, (1 1 -2)
d 2.394, 37.6°, I 44, (2 1 1)
d 2.186, 41.3°, I 25, (3 0 3)